Starting from a GGA+U-relaxed structure, the powder XRD pattern of Ni2Ag2O5 was simulated for Cu Kα X-rays.

Cell and atoms:
Cell lengths 5.756, 6.711, 10.889 Å; angles 90.00, 90.00, 90.00 degrees
Space group Fmmm (No. 69)
Symmetry-distinct sites (fractional):
Ni: 0.250 0.250 0.000 x8
Ag: 0.000 0.000 0.237 x8
O: 0.000 0.000 0.000 x4
O: 0.000 0.217 0.371 x16

Main lines, most intense first (10 to 90 degrees two-theta):
2θ (°), I (rel.), index
31.32, 100, 0 2 2
35.28, 76, 2 0 2
53.81, 62, 2 2 4
41.33, 41, 2 2 0
32.90, 34, 0 0 4
66.79, 21, 2 4 2
73.73, 16, 4 2 2
57.76, 15, 0 2 6
31.08, 15, 2 0 0
54.71, 15, 0 4 0